1.
The following is a computed X-ray powder pattern of Rb2Sn2Hg3S8. It was derived from a DFT-relaxed cell (PBE, OQMD), using Cu Kα (weighted mean of Kα1 and Kα2).
No peak broadening, texture or thermal motion is included.

a = 6.8452 Å, b = 8.0279 Å, c = 9.4272 Å
α = 109.00°, β = 91.95°, γ = 109.89°
Atoms (fractional coordinates):
Rb: 0.1117 0.4660 0.2465
Rb: 0.8883 0.5340 0.7535
Sn: 0.2555 0.1613 0.7612
Sn: 0.7445 0.8387 0.2388
Hg: 0.3382 0.0883 0.3803
Hg: 0.5000 0.0000 0.0000
Hg: 0.6618 0.9117 0.6197
S: 0.0802 0.8454 0.1584
S: 0.2615 0.8521 0.6233
S: 0.3553 0.3614 0.6112
S: 0.4963 0.2976 0.0029
S: 0.5037 0.7024 0.9971
S: 0.6447 0.6386 0.3888
S: 0.7385 0.1479 0.3767
S: 0.9198 0.1546 0.8416

Top 10 peaks for 2θ from 10° to 90°, in order of falling intensity:
- d 7.047, 2θ = 12.56°, intensity 100
- d 2.801, 2θ = 31.95°, intensity 94
- d 4.031, 2θ = 22.05°, intensity 71
- d 3.843, 2θ = 23.15°, intensity 63
- d 3.177, 2θ = 28.09°, intensity 53
- d 3.927, 2θ = 22.64°, intensity 44
- d 2.515, 2θ = 35.70°, intensity 43
- d 6.351, 2θ = 13.94°, intensity 36
- d 1.987, 2θ = 45.66°, intensity 34
- d 3.133, 2θ = 28.49°, intensity 33

***

2.
The following is a computed X-ray powder pattern of Sm4B2Br4Cl. It was derived from a DFT-relaxed cell (PBE, OQMD), using Cu Kα (weighted mean of Kα1 and Kα2).
No peak broadening, texture or thermal motion is included.

a = 10.3055 Å, b = 10.3055 Å, c = 8.0045 Å
α = 102.71°, β = 102.71°, γ = 21.94°
Atoms (fractional coordinates):
Sm: 0.0011 0.0011 0.2118
Sm: 0.3398 0.3398 0.8986
Sm: 0.6602 0.6602 0.1014
Sm: 0.9989 0.9989 0.7882
B: 0.4603 0.4603 0.9779
B: 0.5397 0.5397 0.0221
Br: 0.1606 0.1606 0.3686
Br: 0.1699 0.1699 0.8328
Br: 0.8301 0.8301 0.1672
Br: 0.8394 0.8394 0.6314
Cl: 0.5000 0.5000 0.5000

Top 10 peaks for 2θ from 10° to 90°, in order of falling intensity:
- d 2.801, 2θ = 31.96°, intensity 100
- d 3.287, 2θ = 27.13°, intensity 83
- d 7.801, 2θ = 11.34°, intensity 47
- d 2.112, 2θ = 42.82°, intensity 46
- d 2.152, 2θ = 41.99°, intensity 40
- d 3.230, 2θ = 27.62°, intensity 24
- d 1.684, 2θ = 54.49°, intensity 23
- d 1.961, 2θ = 46.30°, intensity 20
- d 2.970, 2θ = 30.09°, intensity 18
- d 3.846, 2θ = 23.12°, intensity 17

***

3.
The following is a computed X-ray powder pattern of Cs2AgAuBr4Cl2. It was derived from a DFT-relaxed cell (PBE, OQMD), using Cu Kα (weighted mean of Kα1 and Kα2).
No peak broadening, texture or thermal motion is included.

a = 7.8138 Å, b = 7.8138 Å, c = 7.8138 Å
α = 120.40°, β = 120.40°, γ = 89.30°
Atoms (fractional coordinates):
Cs: 0.2500 0.7500 0.5000
Cs: 0.7500 0.2500 0.5000
Ag: 0.0000 0.0000 0.0000
Au: 0.5000 0.5000 0.0000
Br: 0.2360 0.2360 0.4721
Br: 0.2360 0.7640 0.0000
Br: 0.7640 0.2360 0.0000
Br: 0.7640 0.7640 0.5279
Cl: 0.2883 0.2883 0.0000
Cl: 0.7117 0.7117 0.0000

Top 10 peaks for 2θ from 10° to 90°, in order of falling intensity:
- d 3.907, 2θ = 22.76°, intensity 100
- d 2.746, 2θ = 32.61°, intensity 73
- d 1.953, 2θ = 46.49°, intensity 50
- d 2.246, 2θ = 40.14°, intensity 45
- d 2.779, 2θ = 32.21°, intensity 36
- d 3.183, 2θ = 28.03°, intensity 27
- d 1.942, 2θ = 46.79°, intensity 25
- d 1.592, 2θ = 57.94°, intensity 25
- d 5.559, 2θ = 15.94°, intensity 22
- d 3.883, 2θ = 22.90°, intensity 20

***

4.
The following is a computed X-ray powder pattern of Ni15P2. It was derived from a DFT-relaxed cell (PBE, OQMD), using Cu Kα (weighted mean of Kα1 and Kα2).
No peak broadening, texture or thermal motion is included.

a = 6.3021 Å, b = 6.3021 Å, c = 6.3021 Å
α = 62.16°, β = 62.16°, γ = 62.16°
Atoms (fractional coordinates):
Ni: 0.0000 0.0000 0.0000
Ni: 0.0347 0.2841 0.5667
Ni: 0.1591 0.3816 0.8383
Ni: 0.1617 0.8409 0.6184
Ni: 0.2841 0.5667 0.0347
Ni: 0.3816 0.8383 0.1591
Ni: 0.4169 0.4169 0.4169
Ni: 0.4333 0.9653 0.7159
Ni: 0.5667 0.0347 0.2841
Ni: 0.5831 0.5831 0.5831
Ni: 0.6184 0.1617 0.8409
Ni: 0.7159 0.4333 0.9653
Ni: 0.8383 0.1591 0.3816
Ni: 0.8409 0.6184 0.1617
Ni: 0.9653 0.7159 0.4333
P: 0.2087 0.2087 0.2087
P: 0.7913 0.7913 0.7913

Top 10 peaks for 2θ from 10° to 90°, in order of falling intensity:
- d 1.997, 2θ = 45.41°, intensity 100
- d 2.109, 2θ = 42.87°, intensity 64
- d 1.878, 2θ = 48.46°, intensity 55
- d 2.065, 2θ = 43.84°, intensity 48
- d 1.744, 2θ = 52.48°, intensity 27
- d 1.189, 2θ = 80.80°, intensity 17
- d 2.051, 2θ = 44.16°, intensity 16
- d 2.024, 2θ = 44.78°, intensity 15
- d 1.181, 2θ = 81.47°, intensity 11
- d 1.268, 2θ = 74.89°, intensity 10

***

5.
The following is a computed X-ray powder pattern of LuScGe4. It was derived from a DFT-relaxed cell (PBE, OQMD), using Cu Kα (weighted mean of Kα1 and Kα2).
No peak broadening, texture or thermal motion is included.

a = 3.8599 Å, b = 3.9478 Å, c = 15.3104 Å
α = 90.00°, β = 90.00°, γ = 90.00°
Atoms (fractional coordinates):
Lu: 0.0000 0.0000 0.0000
Lu: 0.0000 0.5000 0.5000
Sc: 0.5000 0.0000 0.7956
Sc: 0.5000 0.5000 0.2956
Ge: 0.0000 0.0000 0.3359
Ge: 0.0000 0.0000 0.6488
Ge: 0.0000 0.5000 0.1488
Ge: 0.0000 0.5000 0.8359
Ge: 0.5000 0.0000 0.1528
Ge: 0.5000 0.0000 0.4490
Ge: 0.5000 0.5000 0.6528
Ge: 0.5000 0.5000 0.9490

Top 10 peaks for 2θ from 10° to 90°, in order of falling intensity:
- d 2.428, 2θ = 37.03°, intensity 100
- d 7.655, 2θ = 11.56°, intensity 20
- d 2.552, 2θ = 35.17°, intensity 20
- d 3.123, 2θ = 28.59°, intensity 15
- d 1.974, 2θ = 45.98°, intensity 15
- d 1.562, 2θ = 59.16°, intensity 15
- d 1.930, 2θ = 47.09°, intensity 14
- d 1.448, 2θ = 64.35°, intensity 14
- d 1.214, 2θ = 78.84°, intensity 12
- d 2.717, 2θ = 32.97°, intensity 12

***

6.
The following is a computed X-ray powder pattern of LuSiIr. It was derived from a DFT-relaxed cell (PBE, OQMD), using Cu Kα (weighted mean of Kα1 and Kα2).
No peak broadening, texture or thermal motion is included.

a = 6.7180 Å, b = 6.7180 Å, c = 3.9143 Å
α = 90.00°, β = 90.00°, γ = 120.00°
Atoms (fractional coordinates):
Lu: 0.0000 0.5808 0.0000
Lu: 0.4192 0.4192 0.0000
Lu: 0.5808 0.0000 0.0000
Si: 0.0000 0.0000 0.0000
Si: 0.3333 0.6667 0.5000
Si: 0.6667 0.3333 0.5000
Ir: 0.0000 0.2434 0.5000
Ir: 0.2434 0.0000 0.5000
Ir: 0.7566 0.7566 0.5000

Top 10 peaks for 2θ from 10° to 90°, in order of falling intensity:
- d 2.549, 2θ = 35.21°, intensity 100
- d 2.199, 2θ = 41.05°, intensity 67
- d 2.335, 2θ = 38.56°, intensity 61
- d 1.462, 2θ = 63.65°, intensity 37
- d 3.248, 2θ = 27.46°, intensity 31
- d 1.492, 2θ = 62.23°, intensity 27
- d 1.957, 2θ = 46.40°, intensity 23
- d 3.359, 2θ = 26.54°, intensity 20
- d 1.263, 2θ = 75.21°, intensity 19
- d 1.917, 2θ = 47.42°, intensity 12

***

7.
The following is a computed X-ray powder pattern of YAlGaCu2. It was derived from a DFT-relaxed cell (PBE, OQMD), using Cu Kα (weighted mean of Kα1 and Kα2).
No peak broadening, texture or thermal motion is included.

a = 4.0910 Å, b = 4.0910 Å, c = 10.3039 Å
α = 90.00°, β = 90.00°, γ = 90.00°
Atoms (fractional coordinates):
Y: 0.2500 0.2500 0.2456
Y: 0.7500 0.7500 0.7544
Al: 0.2500 0.7500 0.5000
Al: 0.7500 0.2500 0.5000
Ga: 0.2500 0.2500 0.8682
Ga: 0.7500 0.7500 0.1318
Cu: 0.2500 0.2500 0.6358
Cu: 0.2500 0.7500 0.0000
Cu: 0.7500 0.2500 0.0000
Cu: 0.7500 0.7500 0.3642

Top 10 peaks for 2θ from 10° to 90°, in order of falling intensity:
- d 2.522, 2θ = 35.59°, intensity 100
- d 2.630, 2θ = 34.08°, intensity 83
- d 2.045, 2θ = 44.28°, intensity 71
- d 1.840, 2θ = 49.53°, intensity 42
- d 1.615, 2θ = 57.04°, intensity 36
- d 2.893, 2θ = 30.91°, intensity 34
- d 1.368, 2θ = 68.59°, intensity 30
- d 1.924, 2θ = 47.25°, intensity 23
- d 1.446, 2θ = 64.42°, intensity 22
- d 1.255, 2θ = 75.82°, intensity 20

***

8.
The following is a computed X-ray powder pattern of Lu4TlCuC2. It was derived from a DFT-relaxed cell (PBE, OQMD), using Cu Kα (weighted mean of Kα1 and Kα2).
No peak broadening, texture or thermal motion is included.

a = 3.5440 Å, b = 3.5440 Å, c = 14.5253 Å
α = 90.00°, β = 90.00°, γ = 120.00°
Atoms (fractional coordinates):
Lu: 0.0000 0.0000 0.1413
Lu: 0.0000 0.0000 0.8587
Lu: 0.6667 0.3333 0.3196
Lu: 0.6667 0.3333 0.6804
Tl: 0.0000 0.0000 0.5000
Cu: 0.6667 0.3333 0.0000
C: 0.3333 0.6667 0.2293
C: 0.3333 0.6667 0.7707

Top 10 peaks for 2θ from 10° to 90°, in order of falling intensity:
- d 2.592, 2θ = 34.60°, intensity 100
- d 3.069, 2θ = 29.09°, intensity 28
- d 1.772, 2θ = 51.58°, intensity 25
- d 1.429, 2θ = 65.27°, intensity 21
- d 1.463, 2θ = 63.60°, intensity 17
- d 1.128, 2θ = 86.21°, intensity 15
- d 1.563, 2θ = 59.12°, intensity 13
- d 2.421, 2θ = 37.14°, intensity 13
- d 2.827, 2θ = 31.65°, intensity 12
- d 1.901, 2θ = 47.86°, intensity 10

***

9.
The following is a computed X-ray powder pattern of GdHoTeO2. It was derived from a DFT-relaxed cell (PBE, OQMD), using Cu Kα (weighted mean of Kα1 and Kα2).
No peak broadening, texture or thermal motion is included.

a = 3.9204 Å, b = 3.9204 Å, c = 12.4611 Å
α = 90.00°, β = 90.00°, γ = 90.00°
Atoms (fractional coordinates):
Gd: 0.0000 0.0000 0.0000
Gd: 0.5000 0.5000 0.5000
Ho: 0.0000 0.0000 0.6763
Ho: 0.5000 0.5000 0.1763
Te: 0.0000 0.0000 0.3388
Te: 0.5000 0.5000 0.8388
O: 0.0000 0.5000 0.0913
O: 0.0000 0.5000 0.5913
O: 0.5000 0.0000 0.0913
O: 0.5000 0.0000 0.5913

Top 10 peaks for 2θ from 10° to 90°, in order of falling intensity:
- d 2.851, 2θ = 31.38°, intensity 100
- d 2.772, 2θ = 32.29°, intensity 40
- d 1.615, 2θ = 57.01°, intensity 37
- d 1.662, 2θ = 55.27°, intensity 22
- d 1.960, 2θ = 46.32°, intensity 20
- d 1.426, 2θ = 65.48°, intensity 11
- d 2.077, 2θ = 43.58°, intensity 9
- d 1.306, 2θ = 72.38°, intensity 9
- d 1.247, 2θ = 76.40°, intensity 8
- d 1.240, 2θ = 76.90°, intensity 7

***

10.
The following is a computed X-ray powder pattern of Lu4Nb2P3N3. It was derived from a DFT-relaxed cell (PBE, OQMD), using Cu Kα (weighted mean of Kα1 and Kα2).
No peak broadening, texture or thermal motion is included.

a = 5.9480 Å, b = 5.9480 Å, c = 12.5512 Å
α = 103.53°, β = 103.53°, γ = 60.50°
Atoms (fractional coordinates):
Lu: 0.0371 0.2014 0.1067
Lu: 0.1297 0.2972 0.3934
Lu: 0.2014 0.0371 0.6067
Lu: 0.2972 0.1297 0.8934
Lu: 0.7028 0.8703 0.1066
Lu: 0.7986 0.9629 0.3933
Lu: 0.8703 0.7028 0.6066
Lu: 0.9629 0.7986 0.8933
Nb: 0.3713 0.5317 0.0928
Nb: 0.4683 0.6287 0.4072
Nb: 0.5317 0.3713 0.5928
Nb: 0.6287 0.4683 0.9072
P: 0.1176 0.8824 0.2500
P: 0.2807 0.4182 0.7507
P: 0.4182 0.2807 0.2507
P: 0.5818 0.7193 0.7493
P: 0.7193 0.5818 0.2493
P: 0.8824 0.1176 0.7500
N: 0.0000 0.5000 0.0000
N: 0.1636 0.6687 0.5002
N: 0.3313 0.8364 0.9998
N: 0.5000 0.0000 0.5000
N: 0.6687 0.1636 0.0002
N: 0.8364 0.3313 0.4998

Top 10 peaks for 2θ from 10° to 90°, in order of falling intensity:
- d 2.392, 2θ = 37.60°, intensity 100
- d 2.404, 2θ = 37.41°, intensity 50
- d 2.888, 2θ = 30.97°, intensity 41
- d 1.726, 2θ = 53.07°, intensity 31
- d 2.974, 2θ = 30.05°, intensity 30
- d 3.021, 2θ = 29.57°, intensity 29
- d 2.908, 2θ = 30.74°, intensity 20
- d 1.498, 2θ = 61.93°, intensity 18
- d 1.495, 2θ = 62.09°, intensity 17
- d 2.997, 2θ = 29.82°, intensity 15

***

11.
The following is a computed X-ray powder pattern of Gd2CdGa5. It was derived from a DFT-relaxed cell (PBE, OQMD), using Cu Kα (weighted mean of Kα1 and Kα2).
No peak broadening, texture or thermal motion is included.

a = 4.6172 Å, b = 6.4588 Å, c = 10.9090 Å
α = 90.00°, β = 90.00°, γ = 90.00°
Atoms (fractional coordinates):
Gd: 0.0000 0.0000 0.0000
Gd: 0.0000 0.5000 0.5000
Gd: 0.5000 0.0000 0.3202
Gd: 0.5000 0.5000 0.8202
Cd: 0.5000 0.0000 0.8128
Cd: 0.5000 0.5000 0.3128
Ga: 0.0000 0.0000 0.5108
Ga: 0.0000 0.2215 0.7321
Ga: 0.0000 0.2785 0.2321
Ga: 0.0000 0.5000 0.0108
Ga: 0.0000 0.7215 0.2321
Ga: 0.0000 0.7785 0.7321
Ga: 0.5000 0.2252 0.5768
Ga: 0.5000 0.2748 0.0768
Ga: 0.5000 0.7252 0.0768
Ga: 0.5000 0.7748 0.5768

Top 10 peaks for 2θ from 10° to 90°, in order of falling intensity:
- d 2.381, 2θ = 37.78°, intensity 100
- d 2.348, 2θ = 38.33°, intensity 40
- d 2.309, 2θ = 39.02°, intensity 30
- d 1.307, 2θ = 72.31°, intensity 23
- d 2.779, 2θ = 32.21°, intensity 20
- d 2.727, 2θ = 32.84°, intensity 16
- d 1.346, 2θ = 69.86°, intensity 16
- d 1.584, 2θ = 58.23°, intensity 15
- d 3.524, 2θ = 25.27°, intensity 14
- d 3.551, 2θ = 25.07°, intensity 11

***

12.
The following is a computed X-ray powder pattern of Al3Mo4W2N3. It was derived from a DFT-relaxed cell (PBE, OQMD), using Cu Kα (weighted mean of Kα1 and Kα2).
No peak broadening, texture or thermal motion is included.

a = 4.9229 Å, b = 4.9229 Å, c = 14.9651 Å
α = 99.35°, β = 99.35°, γ = 60.42°
Atoms (fractional coordinates):
Al: 0.0854 0.9146 0.7500
Al: 0.2485 0.4187 0.2504
Al: 0.4187 0.2485 0.7504
Al: 0.5813 0.7515 0.2496
Al: 0.7515 0.5813 0.7496
Al: 0.9146 0.0854 0.2500
Mo: 0.0359 0.1934 0.5970
Mo: 0.1376 0.2989 0.9029
Mo: 0.1934 0.0359 0.0970
Mo: 0.2989 0.1376 0.4029
Mo: 0.7011 0.8624 0.5971
Mo: 0.8066 0.9641 0.9030
Mo: 0.8624 0.7011 0.0971
Mo: 0.9641 0.8066 0.4030
W: 0.3667 0.5275 0.5966
W: 0.4725 0.6333 0.9034
W: 0.5275 0.3667 0.0966
W: 0.6333 0.4725 0.4034
N: 0.0000 0.5000 0.5000
N: 0.1740 0.6630 0.0000
N: 0.3370 0.8260 0.5000
N: 0.5000 0.0000 0.0000
N: 0.6630 0.1740 0.5000
N: 0.8260 0.3370 0.0000

Top 10 peaks for 2θ from 10° to 90°, in order of falling intensity:
- d 2.199, 2θ = 41.04°, intensity 100
- d 7.349, 2θ = 12.04°, intensity 49
- d 2.211, 2θ = 40.82°, intensity 48
- d 3.675, 2θ = 24.22°, intensity 40
- d 2.450, 2θ = 36.68°, intensity 33
- d 2.428, 2θ = 37.03°, intensity 25
- d 1.597, 2θ = 57.71°, intensity 20
- d 1.427, 2θ = 65.39°, intensity 18
- d 2.461, 2θ = 36.51°, intensity 18
- d 1.736, 2θ = 52.72°, intensity 15

***

13.
The following is a computed X-ray powder pattern of ZnGa. It was derived from a DFT-relaxed cell (PBE, OQMD), using Cu Kα (weighted mean of Kα1 and Kα2).
No peak broadening, texture or thermal motion is included.

a = 4.7692 Å, b = 8.7231 Å, c = 4.8304 Å
α = 90.00°, β = 90.00°, γ = 90.00°
Atoms (fractional coordinates):
Zn: 0.0000 0.0758 0.0000
Zn: 0.0000 0.9242 0.5000
Zn: 0.5000 0.0776 0.6810
Zn: 0.5000 0.4177 0.6597
Zn: 0.5000 0.5823 0.1597
Zn: 0.5000 0.9224 0.1810
Ga: 0.0000 0.2406 0.5057
Ga: 0.0000 0.4159 0.9959
Ga: 0.0000 0.5841 0.4959
Ga: 0.0000 0.7594 0.0057
Ga: 0.5000 0.2481 0.1663
Ga: 0.5000 0.7519 0.6663

Top 10 peaks for 2θ from 10° to 90°, in order of falling intensity:
- d 2.208, 2θ = 40.87°, intensity 100
- d 2.155, 2θ = 41.93°, intensity 48
- d 2.385, 2θ = 37.72°, intensity 43
- d 2.491, 2θ = 36.05°, intensity 24
- d 1.340, 2θ = 70.24°, intensity 19
- d 1.213, 2θ = 78.94°, intensity 18
- d 1.723, 2θ = 53.17°, intensity 15
- d 1.409, 2θ = 66.36°, intensity 15
- d 1.205, 2θ = 79.54°, intensity 13
- d 2.415, 2θ = 37.23°, intensity 11